Computed X-ray diffraction stick pattern
Compound: GdHo2Mg3CdHg2
Radiation: Cu Kα, 1.54184 Å
Structure: a cell relaxed with GGA-PBE

Atomic structure:
```
GdHo2Mg3CdHg2
1.0
4.644 0.000 0.000
0.000 6.464 3.695
0.000 -6.464 3.695
Gd Ho Mg Cd Hg
1 2 3 1 2
Direct
0.000 0.000 0.000
0.000 0.149 0.575
0.000 0.575 0.149
0.500 0.331 0.331
0.500 0.574 0.816
0.500 0.816 0.574
0.000 0.570 0.570
0.500 0.243 0.907
0.500 0.907 0.243
```

The 10 most intense peaks (5 to 70 degrees two-theta), in order of rising 2θ:
2theta, d/Å, I/Imax
13.80, 6.415, 25
23.90, 3.723, 35
30.78, 2.905, 80
30.93, 2.891, 42
33.79, 2.653, 48
33.97, 2.639, 100
38.78, 2.322, 41
41.93, 2.155, 22
42.26, 2.138, 23
66.26, 1.411, 20